AcSmRu2O8: simulated powder XRD pattern (Cu Kα, 1.54184 Å), based on DFT lattice parameters and positions (GGA-PBE).
No peak broadening, texture or thermal motion is included.

Atomic structure:
```
data_AcSmRu2O8
_chemical_formula_sum 'Ac1 Sm1 Ru2 O8'
_cell_length_a 5.8894
_cell_length_b 5.8894
_cell_length_c 7.4181
_cell_angle_alpha 90.00
_cell_angle_beta 90.00
_cell_angle_gamma 120.00
_space_group_name_H-M_alt 'P -3'
_space_group_IT_number 147
_space_group_name_Hall '-P 3'
loop_
_atom_site_label
_atom_site_type_symbol
_atom_site_fract_x
_atom_site_fract_y
_atom_site_fract_z
_atom_site_occupancy
Ac1 Ac 0.0000 0.0000 0.0000 1
Sm1 Sm 0.0000 0.0000 0.5000 1
Ru1 Ru 0.3333 0.6667 0.7940 1
O1 O 0.1579 0.3182 0.7230 1
O2 O 0.3333 0.6667 0.0369 1
```

Peak list (10 most intense, 10 to 80 degrees two-theta, sorted by position)
| d (Å) | 2theta | I_rel |
| --- | --- | --- |
| 5.100 | 17.4 | 73 |
| 4.203 | 21.1 | 50 |
| 3.000 | 29.8 | 100 |
| 2.945 | 30.4 | 87 |
| 2.306 | 39.1 | 17 |
| 2.101 | 43.0 | 51 |
| 1.711 | 53.6 | 43 |
| 1.700 | 53.9 | 17 |
| 1.569 | 58.8 | 17 |
| 1.322 | 71.4 | 18 |



AcTlRu2O7: simulated powder XRD pattern (Cu Kα, 1.54184 Å), based on DFT lattice parameters and positions (GGA-PBE).
No peak broadening, texture or thermal motion is included.

Atomic structure:
```
data_AcTlRu2O7
_chemical_formula_sum 'Ac2 Tl2 Ru4 O14'
_cell_length_a 3.9465
_cell_length_b 3.9465
_cell_length_c 22.3515
_cell_angle_alpha 90.00
_cell_angle_beta 90.00
_cell_angle_gamma 90.00
_space_group_name_H-M_alt 'I -4 m 2'
_space_group_IT_number 119
_space_group_name_Hall 'I -4 -2'
loop_
_atom_site_label
_atom_site_type_symbol
_atom_site_fract_x
_atom_site_fract_y
_atom_site_fract_z
_atom_site_occupancy
Ac1 Ac 0.0000 0.0000 0.0000 1
Tl1 Tl 0.0000 0.5000 0.2500 1
Ru1 Ru 0.0000 0.0000 0.4033 1
O1 O 0.0000 0.0000 0.3221 1
O2 O 0.0000 0.0000 0.5000 1
O3 O 0.0000 0.5000 0.0832 1
O4 O 0.0000 0.5000 0.5816 1
```

Peak list (10 most intense, 10 to 80 degrees two-theta, sorted by position)
| d (Å) | 2theta | I_rel |
| --- | --- | --- |
| 5.588 | 15.9 | 33 |
| 3.886 | 22.9 | 42 |
| 3.487 | 25.5 | 100 |
| 2.959 | 30.2 | 99 |
| 2.707 | 33.1 | 86 |
| 2.482 | 36.2 | 42 |
| 2.234 | 40.4 | 34 |
| 1.973 | 46.0 | 46 |
| 1.744 | 52.5 | 47 |
| 1.642 | 56.0 | 36 |



AcTl2RuO8: simulated powder XRD pattern (Cu Kα, 1.54184 Å), based on DFT lattice parameters and positions (GGA-PBE).
No peak broadening, texture or thermal motion is included.

Atomic structure:
```
data_AcTl2RuO8
_chemical_formula_sum 'Ac1 Tl2 Ru1 O8'
_cell_length_a 4.9634
_cell_length_b 5.3449
_cell_length_c 7.0046
_cell_angle_alpha 98.21
_cell_angle_beta 91.60
_cell_angle_gamma 92.06
_space_group_name_H-M_alt 'P -1'
_space_group_IT_number 2
_space_group_name_Hall '-P 1'
loop_
_atom_site_label
_atom_site_type_symbol
_atom_site_fract_x
_atom_site_fract_y
_atom_site_fract_z
_atom_site_occupancy
Ac1 Ac 0.0000 0.0000 0.0000 1
Tl1 Tl 0.4816 0.4507 0.7461 1
Ru1 Ru 0.0000 0.0000 0.5000 1
O1 O 0.1173 0.7745 0.2799 1
O2 O 0.1690 0.8228 0.6722 1
O3 O 0.3211 0.2321 0.4911 1
O4 O 0.4143 0.2598 0.0261 1
```

Peak list (10 most intense, 10 to 80 degrees two-theta, sorted by position)
| d (Å) | 2theta | I_rel |
| --- | --- | --- |
| 3.691 | 24.1 | 100 |
| 3.545 | 25.1 | 84 |
| 3.110 | 28.7 | 59 |
| 2.885 | 31.0 | 45 |
| 2.796 | 32.0 | 36 |
| 2.724 | 32.9 | 41 |
| 2.643 | 33.9 | 24 |
| 2.479 | 36.2 | 32 |
| 2.070 | 43.7 | 24 |
| 2.050 | 44.2 | 22 |



Ac2SO6: simulated powder XRD pattern (Cu Kα, 1.54184 Å), based on DFT lattice parameters and positions (GGA-PBE).
No peak broadening, texture or thermal motion is included.

Atomic structure:
```
data_Ac2SO6
_chemical_formula_sum 'Ac8 S4 O24'
_cell_length_a 7.5150
_cell_length_b 12.3653
_cell_length_c 8.4344
_cell_angle_alpha 90.00
_cell_angle_beta 99.37
_cell_angle_gamma 90.00
_space_group_name_H-M_alt 'C 1 2/c 1'
_space_group_IT_number 15
_space_group_name_Hall '-C 2yc'
loop_
_atom_site_label
_atom_site_type_symbol
_atom_site_fract_x
_atom_site_fract_y
_atom_site_fract_z
_atom_site_occupancy
Ac1 Ac 0.1988 0.0631 0.4177 1
S1 S 0.0000 0.3438 0.2500 1
O1 O 0.0566 0.4135 0.1221 1
O2 O 0.1216 0.0399 0.1345 1
O3 O 0.1539 0.2766 0.3297 1
```

Peak list (10 most intense, 10 to 80 degrees two-theta, sorted by position)
| d (Å) | 2theta | I_rel |
| --- | --- | --- |
| 6.183 | 14.3 | 100 |
| 5.432 | 16.3 | 90 |
| 3.729 | 23.9 | 34 |
| 3.406 | 26.2 | 81 |
| 3.278 | 27.2 | 74 |
| 3.023 | 29.5 | 31 |
| 2.840 | 31.5 | 42 |
| 2.424 | 37.1 | 31 |
| 2.289 | 39.4 | 35 |
| 2.064 | 43.9 | 54 |